Diffraction record for ScInNi5. The X-ray powder pattern is simulated, not measured: it uses DFT lattice parameters and positions (PBE) and Cu Kα.

Crystal structure
```
data_ScInNi5
_chemical_formula_sum 'Sc4 In4 Ni20'
_cell_length_a 7.9133
_cell_length_b 4.7484
_cell_length_c 10.2554
_cell_angle_alpha 90.00
_cell_angle_beta 90.00
_cell_angle_gamma 90.00
_symmetry_space_group_name_H-M 'P n m a'
_symmetry_Int_Tables_number 62
_symmetry_space_group_name_Hall '-P 2ac 2n'
loop_
_atom_site_label
_atom_site_fract_x
_atom_site_fract_y
_atom_site_fract_z
Sc1 0.2442 0.2500 0.0620
In1 0.1353 0.2500 0.3637
Ni1 0.0451 0.2500 0.6020
Ni2 0.0664 0.5017 0.8112
Ni3 0.0844 0.7500 0.0168
Ni4 0.1909 0.7500 0.2383
```

The 10 most intense peaks (2θ from 10° to 90°), low angle first:
2theta	I_rel	(hkl)
23.51	42	1 1 1
39.68	58	2 1 3
40.08	79	3 1 1
43.01	38	3 1 2
45.42	67	2 2 1
45.70	53	1 0 5
46.33	81	2 1 4
46.77	41	4 0 1
48.06	100	1 2 3
74.39	44	5 2 2